Diffraction record for HoErAlCd. The powder X-ray diffraction pattern is calculated, not measured: it uses a structure optimized by DFT (GGA-PBE) and copper Kα.
Peak positions follow from Bragg's law for the DFT cell and can differ from measured ones.

Crystal structure
```
data_HoErAlCd
_cell_length_a 3.6130
_cell_length_b 3.6130
_cell_length_c 7.4509
_cell_angle_alpha 90.00
_cell_angle_beta 90.00
_cell_angle_gamma 90.00
_symmetry_space_group_name_H-M 'P 4 m m'
_symmetry_Int_Tables_number 99
loop_
_symmetry_equiv_pos_as_xyz
'x,y,z'
'-y,x,z'
'-x,-y,z'
'y,-x,z'
'-x,y,z'
'y,x,z'
'x,-y,z'
'-y,-x,z'
loop_
_atom_site_label
_atom_site_type_symbol
_atom_site_fract_x
_atom_site_fract_y
_atom_site_fract_z
Ho1 Ho 0.0000 0.0000 0.0000
Er1 Er 0.0000 0.0000 0.4768
Al1 Al 0.5000 0.5000 0.2398
Cd1 Cd 0.5000 0.5000 0.7360
```

Principal peaks in the range 10° ≤ 2θ ≤ 90°, low angle first:
(hkl)	Position (°2θ)	I (rel.)
0 0 2	23.89	96
1 0 0	24.64	186
1 0 1	27.44	105
1 0 2	34.58	1000
1 1 0	35.13	487
0 0 4	48.90	89
2 0 0	50.52	172
1 1 4	61.62	177
2 1 2	62.67	353
2 0 4	72.95	107